Structure and calculated XRD peak list of TbTmCdRh (a cell relaxed with PBE; CuKα).
Peak positions follow from Bragg's law for the DFT cell and can differ from measured ones.

Structural model:
```
data_TbTmCdRh
_chemical_formula_sum 'Tb1 Tm1 Cd1 Rh1'
_cell_length_a 3.491
_cell_length_b 3.491
_cell_length_c 7.524
_cell_angle_alpha 90.00
_cell_angle_beta 90.00
_cell_angle_gamma 90.00
_space_group_name_H-M_alt 'P 4 m m'
_space_group_IT_number 99
loop_
_space_group_symop_operation_xyz
'x,y,z'
'-y,x,z'
'-x,-y,z'
'y,-x,z'
'-x,y,z'
'y,x,z'
'x,-y,z'
'-y,-x,z'
loop_
_atom_site_label
_atom_site_type_symbol
_atom_site_fract_x
_atom_site_fract_y
_atom_site_fract_z
Tb1 Tb 0.000 0.000 0.000
Tm1 Tm 0.000 0.000 0.566
Cd1 Cd 0.500 0.500 0.290
Rh1 Rh 0.500 0.500 0.775
```

The 10 most intense peaks (2θ from 15° to 90°), low angle first:
35.07 deg, rel. 100, hkl 1 0 2; 36.40 deg, rel. 50, hkl 1 1 0; 44.48 deg, rel. 7, hkl 1 0 3; 48.39 deg, rel. 7, hkl 0 0 4; 52.43 deg, rel. 18, hkl 2 0 0; 62.03 deg, rel. 13, hkl 1 1 4; 64.64 deg, rel. 33, hkl 2 1 2; 74.10 deg, rel. 8, hkl 2 0 4; 87.82 deg, rel. 7, hkl 3 0 2; 88.60 deg, rel. 8, hkl 3 1 0